# SrNiSn3
Computed X-ray diffraction stick pattern, Cu Kα (weighted mean of Kα1 and Kα2). Input: a GGA-PBE-relaxed structure.
No peak broadening, texture or thermal motion is included.

Structure:
a b c (Å): 6.7288 6.1040 6.1873
angles (deg): 90.00 90.00 90.00
Fractional coordinates of all 10 atoms:
Sr: 0.0000 0.1458 0.0000
Sr: 0.5000 0.8542 0.5000
Ni: 0.0000 0.5974 0.2499
Ni: 0.5000 0.4026 0.7499
Sn: 0.0000 0.8846 0.5390
Sn: 0.2428 0.3390 0.4523
Sn: 0.2572 0.6610 0.9523
Sn: 0.5000 0.1154 0.0390
Sn: 0.7428 0.6610 0.9523
Sn: 0.7572 0.3390 0.4523

Main lines, low angle first (2θ = 10–80°):
3.094 Å, 2θ 28.86, intensity 35; 2.946 Å, 2θ 30.34, intensity 25; 2.737 Å, 2θ 32.72, intensity 74; 2.660 Å, 2θ 33.69, intensity 100; 2.134 Å, 2θ 42.36, intensity 37; 1.741 Å, 2θ 52.56, intensity 16; 1.690 Å, 2θ 54.29, intensity 15; 1.682 Å, 2θ 54.55, intensity 14; 1.517 Å, 2θ 61.07, intensity 23; 1.433 Å, 2θ 65.08, intensity 21


# Sm12Co6Pd
Computed X-ray diffraction stick pattern, Cu Kα (weighted mean of Kα1 and Kα2). Input: a GGA-PBE-relaxed structure.
No peak broadening, texture or thermal motion is included.

Structure:
a b c (Å): 8.4764 8.4764 8.4764
angles (deg): 109.47 109.47 109.47
Fractional coordinates of all 19 atoms:
Sm: 0.1088 0.3019 0.8069
Sm: 0.1931 0.4949 0.3019
Sm: 0.1931 0.8912 0.6981
Sm: 0.3019 0.1931 0.4949
Sm: 0.3019 0.8069 0.1088
Sm: 0.4949 0.3019 0.1931
Sm: 0.5051 0.6981 0.8069
Sm: 0.6981 0.1931 0.8912
Sm: 0.6981 0.8069 0.5051
Sm: 0.8069 0.1088 0.3019
Sm: 0.8069 0.5051 0.6981
Sm: 0.8912 0.6981 0.1931
Co: 0.1133 0.5000 0.6133
Co: 0.3867 0.8867 0.5000
Co: 0.5000 0.3867 0.8867
Co: 0.5000 0.6133 0.1133
Co: 0.6133 0.1133 0.5000
Co: 0.8867 0.5000 0.3867
Pd: 0.0000 0.0000 0.0000

Main lines, low angle first (2θ = 10–80°):
3.095 Å, 2θ 28.85, intensity 43; 2.825 Å, 2θ 31.67, intensity 54; 2.616 Å, 2θ 34.28, intensity 100; 2.447 Å, 2θ 36.73, intensity 20; 1.920 Å, 2θ 47.36, intensity 23; 1.679 Å, 2θ 54.68, intensity 37; 1.631 Å, 2θ 56.40, intensity 12; 1.588 Å, 2θ 58.10, intensity 37; 1.384 Å, 2θ 67.69, intensity 20; 1.332 Å, 2θ 70.73, intensity 10